# 1
Calculated X-ray powder pattern of NbCo2Ge for λ = 1.5418 Å (Cu Kα), from DFT lattice parameters and positions (GGA-PBE).
Intensities are scaled so that the largest is 100.

Main lines, sorted by position (2θ from 10° to 90°):
2theta	I_rel
25.79	4
29.86	1
42.74	100
50.59	2
62.03	16
68.32	1
78.26	31
84.04	1

```
NbCo2Ge
1.0
0.000 2.992 2.992
2.992 0.000 2.992
2.992 2.992 0.000
Nb Co Ge
1 2 1
direct
0.000 0.000 0.000
0.250 0.250 0.250
0.500 0.500 0.500
0.750 0.750 0.750
```

# 2
Calculated X-ray powder pattern of Y3Al7Co2 for λ = 1.5418 Å (Cu Kα), from DFT lattice parameters and positions (GGA-PBE).
Intensities are scaled so that the largest is 100.

Main lines, sorted by position (2θ from 10° to 90°):
2theta	I_rel
20.98	23
31.07	28
32.82	65
34.01	18
38.25	20
39.28	100
58.59	11
62.94	24
64.78	16
68.80	18

```
Y3Al7Co2
1.0
2.729 1.576 8.467
-2.729 1.576 8.467
0.000 -3.151 8.467
Y Al Co
3 7 2
direct
0.000 0.000 0.000
0.145 0.145 0.145
0.855 0.855 0.855
0.069 0.576 0.576
0.424 0.424 0.931
0.424 0.931 0.424
0.500 0.500 0.500
0.576 0.069 0.576
0.576 0.576 0.069
0.931 0.424 0.424
0.335 0.335 0.335
0.665 0.665 0.665
```

# 3
Calculated X-ray powder pattern of KSmSO4F for λ = 1.5418 Å (Cu Kα), from DFT lattice parameters and positions (GGA-PBE).
Intensities are scaled so that the largest is 100.

Main lines, sorted by position (2θ from 10° to 90°):
2theta	I_rel
14.88	60
16.72	39
17.34	43
26.14	33
26.89	34
27.12	100
27.58	85
32.59	38
41.88	33
44.75	31

```
KSmSO4F
1.0
6.156 0.000 0.000
-1.765 6.632 0.000
-2.327 -2.609 5.954
K Sm S O F
2 2 2 8 2
direct
0.186 0.131 0.341
0.814 0.869 0.659
0.373 0.687 0.946
0.627 0.313 0.054
0.176 0.650 0.351
0.824 0.350 0.649
0.045 0.290 0.667
0.075 0.418 0.186
0.319 0.668 0.580
0.346 0.799 0.297
0.654 0.201 0.703
0.681 0.332 0.420
0.925 0.582 0.814
0.955 0.710 0.333
0.281 0.028 0.962
0.719 0.972 0.038
```

# 4
Calculated X-ray powder pattern of Tm4Lu3Co2Te2 for λ = 1.5418 Å (Cu Kα), from DFT lattice parameters and positions (GGA-PBE).
Intensities are scaled so that the largest is 100.

Main lines, sorted by position (2θ from 10° to 90°):
2theta	I_rel
29.39	24
30.68	23
30.97	54
33.66	86
34.68	100
35.18	81
37.38	25
48.14	30
52.06	25
60.02	33

```
Tm4Lu3Co2Te2
1.0
-1.890 7.667 4.678
1.890 -7.667 4.678
1.890 7.667 -4.678
Tm Lu Co Te
4 3 2 2
direct
0.136 0.000 0.136
0.206 0.854 0.352
0.502 0.854 0.648
0.864 0.000 0.864
0.521 0.206 0.314
0.581 0.581 0.000
0.892 0.206 0.686
0.277 0.513 0.764
0.748 0.513 0.236
0.244 0.244 0.000
0.847 0.347 0.500
```

# 5
Calculated X-ray powder pattern of Y4CdC3 for λ = 1.5418 Å (Cu Kα), from DFT lattice parameters and positions (GGA-PBE).
Intensities are scaled so that the largest is 100.

Main lines, sorted by position (2θ from 10° to 90°):
2theta	I_rel
28.78	38
31.33	69
31.64	53
32.78	100
34.47	83
45.72	18
50.66	52
54.08	18
60.97	48
87.74	20

```
Y4CdC3
1.0
3.604 0.000 0.000
-1.802 3.121 0.000
0.000 0.000 28.280
Y Cd C
8 2 6
direct
0.000 0.000 0.151
0.000 0.000 0.349
0.000 0.000 0.651
0.000 0.000 0.849
0.333 0.667 0.052
0.333 0.667 0.448
0.667 0.333 0.552
0.667 0.333 0.948
0.333 0.667 0.250
0.667 0.333 0.750
0.000 0.000 0.000
0.000 0.000 0.500
0.333 0.667 0.610
0.333 0.667 0.890
0.667 0.333 0.110
0.667 0.333 0.390
```

# 6
Calculated X-ray powder pattern of NaTe2PdAuSe for λ = 1.5418 Å (Cu Kα), from DFT lattice parameters and positions (GGA-PBE).
Intensities are scaled so that the largest is 100.

Main lines, sorted by position (2θ from 10° to 90°):
2theta	I_rel
13.49	71
15.75	60
30.14	99
31.26	96
32.72	100
34.40	46
44.61	43
44.96	43
45.08	60
56.71	55

```
NaTe2PdAuSe
1.0
2.016 -6.562 0.000
2.016 6.562 0.000
0.000 0.000 10.949
Na Te Pd Au Se
2 4 2 2 2
direct
0.234 0.766 0.750
0.766 0.234 0.250
0.138 0.862 0.014
0.138 0.862 0.486
0.862 0.138 0.514
0.862 0.138 0.986
0.500 0.500 0.000
0.500 0.500 0.500
0.092 0.908 0.250
0.908 0.092 0.750
0.449 0.551 0.250
0.551 0.449 0.750
```